Calculated PXRD pattern
Compound: ThMgPb2
Radiation: a wavelength of 1.5418 Å
Structure: a cell relaxed with GGA-PBE
Lines closer than 0.1° are merged.

Principal peaks in the range 10 to 80 degrees two-theta, in order of rising 2θ:
| Position (°2θ) | I/Imax |
| --- | --- |
| 23.8 | 100 |
| 31.2 | 79 |
| 38.0 | 62 |
| 38.9 | 64 |
| 46.2 | 18 |
| 50.7 | 21 |
| 55.6 | 21 |
| 65.7 | 20 |
| 68.2 | 31 |
| 69.9 | 22 |

a b c (Å): 7.3404 7.3404 7.3404
angles (deg): 36.75 36.75 36.75
Fractional coordinates of all 4 atoms:
Th: 0.0000 0.0000 0.0000
Mg: 0.8236 0.8236 0.8236
Pb: 0.4208 0.4208 0.4208
Pb: 0.5743 0.5743 0.5743